(1)
The following is a simulated PXRD pattern of Li2In3Rh2. It was derived from a crystal structure in Alexandria, relaxed with GGA-PBE, using copper Kα.

Principal peaks in the range 2θ from 5° to 70°, in order of rising 2θ:
- (0 0 1), 2θ = 11.4°, intensity 100
- (0 1 0), 2θ = 24.0°, intensity 10
- (0 1 2), 2θ = 27.5°, intensity 8
- (1 0 -2), 2θ = 29.8°, intensity 21
- (1 1 3), 2θ = 38.5°, intensity 44
- (1 0 -3), 2θ = 38.6°, intensity 22
- (2 1 0), 2θ = 40.0°, intensity 60
- (1 -1 0), 2θ = 41.7°, intensity 25
- (0 1 -3), 2θ = 48.8°, intensity 7
- (2 0 2), 2θ = 56.6°, intensity 7
- (0 2 4), 2θ = 56.8°, intensity 14
- (1 1 -5), 2θ = 68.6°, intensity 7

Atomic structure:
```
data_Li2In3Rh2
_chemical_formula_sum 'Li2 In3 Rh2'
_space_group_name_H-M_alt 'P -1'
_space_group_IT_number 2
_cell_length_a 4.507
_cell_length_b 4.508
_cell_length_c 8.204
_cell_angle_alpha 74.11
_cell_angle_beta 89.88
_cell_angle_gamma 60.01
loop_
_space_group_symop_operation_xyz
'x,y,z'
'-x,-y,-z'
loop_
_atom_site_label
_atom_site_type_symbol
_atom_site_fract_x
_atom_site_fract_y
_atom_site_fract_z
Li1 Li 0.126 0.247 0.382
In1 In 0.000 0.500 0.000
In2 In 0.255 0.992 0.761
Rh1 Rh 0.374 0.752 0.122
```

***

(2)
The following is a simulated PXRD pattern of Zn3CdS4. It was derived from a crystal structure in Alexandria, relaxed with GGA-PBE, using copper Kα.

Principal peaks in the range 2θ from 5° to 70°, in order of rising 2θ:
- (1 0 0), 2θ = 15.9°, intensity 2
- (1 1 0), 2θ = 22.6°, intensity 4
- (1 1 1), 2θ = 27.8°, intensity 100
- (2 0 0), 2θ = 32.2°, intensity 16
- (2 1 0), 2θ = 36.1°, intensity 3
- (2 1 1), 2θ = 39.7°, intensity 2
- (2 2 0), 2θ = 46.1°, intensity 59
- (3 0 0), 2θ = 49.1°, intensity 1
- (3 1 1), 2θ = 54.7°, intensity 42
- (2 2 2), 2θ = 57.4°, intensity 4
- (3 2 1), 2θ = 62.4°, intensity 1
- (4 0 0), 2θ = 67.3°, intensity 9

Atomic structure:
```
data_Zn3CdS4
_chemical_formula_sum 'Zn3 Cd1 S4'
_space_group_name_H-M_alt 'P -4 3 m'
_space_group_IT_number 215
_space_group_name_Hall 'P -4 2 3'
_cell_length_a 5.565
_cell_length_b 5.565
_cell_length_c 5.565
_cell_angle_alpha 90.00
_cell_angle_beta 90.00
_cell_angle_gamma 90.00
loop_
_atom_site_label
_atom_site_type_symbol
_atom_site_fract_x
_atom_site_fract_y
_atom_site_fract_z
Zn1 Zn 0.000 0.000 0.500
Cd1 Cd 0.500 0.500 0.500
S1 S 0.238 0.238 0.762
```

***

(3)
The following is a simulated PXRD pattern of BaNdC3N6. It was derived from a crystal structure in Alexandria, relaxed with GGA-PBE, using copper Kα.

Principal peaks in the range 2θ from 5° to 70°, in order of rising 2θ:
- (1 1 0), 2θ = 16.9°, intensity 100
- (0 1 2), 2θ = 25.4°, intensity 22
- (3 0 0), 2θ = 29.5°, intensity 17
- (2 0 2), 2θ = 30.6°, intensity 35
- (2 2 0), 2θ = 34.1°, intensity 20
- (1 2 2), 2θ = 35.2°, intensity 33
- (3 1 2), 2θ = 43.0°, intensity 23
- (4 1 0), 2θ = 45.7°, intensity 14
- (0 4 2), 2θ = 46.5°, intensity 9
- (2 3 2), 2θ = 49.8°, intensity 9
- (0 2 4), 2θ = 52.1°, intensity 7
- (3 3 0), 2θ = 52.3°, intensity 8

Atomic structure:
```
data_BaNdC3N6
_chemical_formula_sum 'Ba3 Nd3 C9 N18'
_space_group_name_H-M_alt 'R 3 2'
_space_group_IT_number 155
_space_group_name_Hall 'R 3 2"'
_cell_length_a 10.5045
_cell_length_b 10.5045
_cell_length_c 7.6057
_cell_angle_alpha 90.00
_cell_angle_beta 90.00
_cell_angle_gamma 120.00
loop_
_atom_site_label
_atom_site_type_symbol
_atom_site_fract_x
_atom_site_fract_y
_atom_site_fract_z
Ba1 Ba 0.0000 0.0000 0.0000
Nd1 Nd 0.0000 0.0000 0.5000
C1 C 0.0000 0.5045 0.0000
N1 N 0.0978 0.8943 0.2863
```

***

(4)
The following is a simulated PXRD pattern of CePm3O4. It was derived from a crystal structure in Alexandria, relaxed with GGA-PBE, using copper Kα.

Principal peaks in the range 2θ from 5° to 70°, in order of rising 2θ:
- (2 0 0), 2θ = 30.9°, intensity 62
- (1 2 -1), 2θ = 31.1°, intensity 61
- (1 2 1), 2θ = 36.0°, intensity 100
- (2 0 2), 2θ = 51.5°, intensity 12
- (3 2 -1), 2θ = 51.8°, intensity 46
- (0 4 0), 2θ = 52.1°, intensity 11
- (3 2 1), 2θ = 61.4°, intensity 23
- (3 2 -3), 2θ = 61.6°, intensity 14
- (2 4 0), 2θ = 61.8°, intensity 18
- (4 0 0), 2θ = 64.4°, intensity 12
- (2 4 -2), 2θ = 64.9°, intensity 11

Atomic structure:
```
data_CePm3O4
_chemical_formula_sum 'Ce2 Pm6 O8'
_space_group_name_H-M_alt 'P 1 2/c 1'
_space_group_IT_number 13
_cell_length_a 6.129
_cell_length_b 7.026
_cell_length_c 6.124
_cell_angle_alpha 90.00
_cell_angle_beta 109.24
_cell_angle_gamma 90.00
loop_
_space_group_symop_operation_xyz
'x,y,z'
'-x,-y,-z'
'-x,y,-z+1/2'
'x,-y,z+1/2'
loop_
_atom_site_label
_atom_site_type_symbol
_atom_site_fract_x
_atom_site_fract_y
_atom_site_fract_z
Ce1 Ce 0.000 0.124 0.250
Pm1 Pm 0.000 0.372 0.750
Pm2 Pm 0.500 0.124 0.750
Pm3 Pm 0.500 0.374 0.250
O1 O 0.250 0.375 0.500
O2 O 0.252 0.126 0.001
```

***

(5)
The following is a simulated PXRD pattern of Cs2AlBiO4. It was derived from a crystal structure in Alexandria, relaxed with GGA-PBE, using copper Kα.

Principal peaks in the range 2θ from 5° to 70°, in order of rising 2θ:
- (0 0 4), 2θ = 15.1°, intensity 42
- (1 1 1), 2θ = 17.4°, intensity 83
- (1 1 5), 2θ = 25.4°, intensity 61
- (1 3 1), 2θ = 26.2°, intensity 45
- (0 2 6), 2θ = 26.6°, intensity 100
- (0 4 0), 2θ = 27.6°, intensity 44
- (1 3 5), 2θ = 32.2°, intensity 56
- (2 2 0), 2θ = 34.3°, intensity 52
- (2 0 6), 2θ = 38.9°, intensity 35
- (1 1 11), 2θ = 45.8°, intensity 22
- (2 4 6), 2θ = 48.4°, intensity 49
- (2 0 10), 2θ = 50.2°, intensity 23

Atomic structure:
```
data_Cs2AlBiO4
_chemical_formula_sum 'Cs16 Al8 Bi8 O32'
_space_group_name_H-M_alt 'F d d d'
_space_group_IT_number 70
_cell_length_a 5.726
_cell_length_b 12.931
_cell_length_c 23.534
_cell_angle_alpha 90.00
_cell_angle_beta 90.00
_cell_angle_gamma 90.00
loop_
_space_group_symop_operation_xyz
'x,y,z'
'-x,-y,-z'
'-x+1/4,-y+1/4,z'
'x+1/4,y+1/4,-z'
'x,-y+1/4,-z+1/4'
'-x,y+1/4,z+1/4'
'-x+1/4,y,-z+1/4'
'x+1/4,-y,z+1/4'
'x,y+1/2,z+1/2'
'-x,-y+1/2,-z+1/2'
'-x+1/4,-y+3/4,z+1/2'
'x+1/4,y+3/4,-z+1/2'
'x,-y+3/4,-z+3/4'
'-x,y+3/4,z+3/4'
'-x+1/4,y+1/2,-z+3/4'
'x+1/4,-y+1/2,z+3/4'
'x+1/2,y,z+1/2'
'-x+1/2,-y,-z+1/2'
'-x+3/4,-y+1/4,z+1/2'
'x+3/4,y+1/4,-z+1/2'
'x+1/2,-y+1/4,-z+3/4'
'-x+1/2,y+1/4,z+3/4'
'-x+3/4,y,-z+3/4'
'x+3/4,-y,z+3/4'
'x+1/2,y+1/2,z'
'-x+1/2,-y+1/2,-z'
'-x+3/4,-y+3/4,z'
'x+3/4,y+3/4,-z'
'x+1/2,-y+3/4,-z+1/4'
'-x+1/2,y+3/4,z+1/4'
'-x+3/4,y+1/2,-z+1/4'
'x+3/4,-y+1/2,z+1/4'
loop_
_atom_site_label
_atom_site_type_symbol
_atom_site_fract_x
_atom_site_fract_y
_atom_site_fract_z
Cs1 Cs 0.125 0.125 0.304
Al1 Al 0.125 0.125 0.625
Bi1 Bi 0.125 0.125 0.125
O1 O 0.071 0.292 0.835
```

***

(6)
The following is a simulated PXRD pattern of Pr4Nd5Er. It was derived from a crystal structure in Alexandria, relaxed with GGA-PBE, using copper Kα.

Principal peaks in the range 2θ from 5° to 70°, in order of rising 2θ:
- (4 0 2), 2θ = 29.8°, intensity 100
- (5 1 0), 2θ = 34.5°, intensity 51
- (0 2 0), 2θ = 49.6°, intensity 24
- (3 1 4), 2θ = 49.6°, intensity 12
- (6 2 -2), 2θ = 58.9°, intensity 25
- (4 2 2), 2θ = 59.0°, intensity 18
- (2 2 -4), 2θ = 61.8°, intensity 9
- (8 0 4), 2θ = 61.9°, intensity 3

Atomic structure:
```
data_Pr4Nd5Er
_chemical_formula_sum 'Pr8 Nd10 Er2'
_space_group_name_H-M_alt 'C 1 2/m 1'
_space_group_IT_number 12
_cell_length_a 19.108
_cell_length_b 3.678
_cell_length_c 10.404
_cell_angle_alpha 90.00
_cell_angle_beta 105.96
_cell_angle_gamma 90.00
loop_
_space_group_symop_operation_xyz
'x,y,z'
'-x,-y,-z'
'-x,y,-z'
'x,-y,z'
'x+1/2,y+1/2,z'
'-x+1/2,-y+1/2,-z'
'-x+1/2,y+1/2,-z'
'x+1/2,-y+1/2,z'
loop_
_atom_site_label
_atom_site_type_symbol
_atom_site_fract_x
_atom_site_fract_y
_atom_site_fract_z
Pr1 Pr 0.099 0.000 0.297
Pr2 Pr 0.199 0.500 0.100
Nd1 Nd 0.000 0.500 0.500
Nd2 Nd 0.099 0.000 0.802
Nd3 Nd 0.200 0.500 0.600
Er1 Er 0.000 0.500 0.000
```